[1]
For SmIn3Cu3, the GGA-PBE geometry in Alexandria gives the calculated powder XRD pattern in this record (CuKα).
Peak positions follow from Bragg's law for the DFT cell and can differ from measured ones.

Crystal structure
```
data_SmIn3Cu3
_chemical_formula_sum 'Sm2 In6 Cu6'
_cell_length_a 7.0608
_cell_length_b 7.0608
_cell_length_c 7.0608
_cell_angle_alpha 90.00
_cell_angle_beta 90.00
_cell_angle_gamma 90.00
_space_group_name_H-M_alt 'P m -3 n'
_space_group_IT_number 223
_space_group_name_Hall '-P 4n 2 3'
loop_
_atom_site_label
_atom_site_fract_x
_atom_site_fract_y
_atom_site_fract_z
Sm1 0.0000 0.0000 0.0000
In1 0.0000 0.2500 0.5000
Cu1 0.0000 0.5000 0.2500
```

Principal peaks in the range 10° ≤ 2θ ≤ 90°, by angle:
2θ/deg	I/Imax	hkl
25.23	42	2 0 0
31.02	100	2 1 1
44.45	18	2 2 2
48.22	58	3 2 1
51.79	26	4 0 0
58.46	16	4 2 0
61.61	14	3 3 2
73.46	16	5 2 1
76.29	16	4 4 0
84.61	16	6 1 1



[2]
For KTl3I4, the GGA-PBE geometry in Alexandria gives the calculated powder XRD pattern in this record (CuKα).
Peak positions follow from Bragg's law for the DFT cell and can differ from measured ones.

Crystal structure
```
data_KTl3I4
_chemical_formula_sum 'K2 Tl6 I8'
_cell_length_a 10.0439
_cell_length_b 14.2132
_cell_length_c 5.0314
_cell_angle_alpha 90.00
_cell_angle_beta 90.00
_cell_angle_gamma 90.00
_space_group_name_H-M_alt 'C m m m'
_space_group_IT_number 65
_space_group_name_Hall '-C 2 2'
loop_
_atom_site_label
_atom_site_fract_x
_atom_site_fract_y
_atom_site_fract_z
K1 0.0000 0.0000 0.0000
Tl1 0.0000 0.5000 0.0000
Tl2 0.2500 0.2500 0.5000
I1 0.0000 0.2497 0.0000
I2 0.2499 0.0000 0.5000
```

Principal peaks in the range 10° ≤ 2θ ≤ 90°, by angle:
2θ/deg	I/Imax	hkl
10.79	8	1 1 0
25.06	100	2 0 1
35.73	79	4 0 0
44.14	29	4 4 0
51.42	14	4 0 2
58.03	39	6 0 1
64.19	29	6 4 1
81.15	10	6 0 3
81.25	9	8 4 0
86.61	11	6 4 3



[3]
For Zn6HgO6, the GGA-PBE geometry in Alexandria gives the calculated powder XRD pattern in this record (CuKα).
Peak positions follow from Bragg's law for the DFT cell and can differ from measured ones.

Crystal structure
```
data_Zn6HgO6
_chemical_formula_sum 'Zn6 Hg1 O6'
_cell_length_a 5.7340
_cell_length_b 5.7340
_cell_length_c 5.7340
_cell_angle_alpha 90.00
_cell_angle_beta 90.00
_cell_angle_gamma 90.00
_space_group_name_H-M_alt 'P m -3'
_space_group_IT_number 200
_space_group_name_Hall '-P 2 2 3'
loop_
_atom_site_label
_atom_site_fract_x
_atom_site_fract_y
_atom_site_fract_z
Zn1 0.0000 0.2489 0.5000
Hg1 0.0000 0.0000 0.0000
O1 0.0000 0.5000 0.2530
```

Principal peaks in the range 10° ≤ 2θ ≤ 90°, by angle:
2θ/deg	I/Imax	hkl
15.45	64	1 0 0
26.93	24	1 1 1
31.20	44	2 0 0
34.99	81	2 1 0
38.46	100	2 1 1
47.57	20	2 2 1
57.99	19	3 0 2
60.40	51	3 1 2
65.07	18	4 0 0
76.07	18	4 2 1



[4]
For CdBPtO5, the GGA-PBE geometry in Alexandria gives the calculated powder XRD pattern in this record (CuKα).
Peak positions follow from Bragg's law for the DFT cell and can differ from measured ones.

Crystal structure
```
data_CdBPtO5
_chemical_formula_sum 'Cd4 B4 Pt4 O20'
_cell_length_a 6.4864
_cell_length_b 8.4839
_cell_length_c 7.0087
_cell_angle_alpha 90.00
_cell_angle_beta 115.58
_cell_angle_gamma 90.00
_space_group_name_H-M_alt 'C 1 2/c 1'
_space_group_IT_number 15
loop_
_space_group_symop_operation_xyz
'x,y,z'
'-x,-y,-z'
'-x,y,-z+1/2'
'x,-y,z+1/2'
'x+1/2,y+1/2,z'
'-x+1/2,-y+1/2,-z'
'-x+1/2,y+1/2,-z+1/2'
'x+1/2,-y+1/2,z+1/2'
loop_
_atom_site_label
_atom_site_fract_x
_atom_site_fract_y
_atom_site_fract_z
Cd1 0.0000 0.1515 0.2500
B1 0.0000 0.1925 0.7500
Pt1 0.0000 0.5000 0.0000
O1 0.0000 0.4058 0.2500
O2 0.1036 0.2823 0.6343
O3 0.1714 0.0748 0.9067
```

Principal peaks in the range 10° ≤ 2θ ≤ 90°, by angle:
2θ/deg	I/Imax	hkl
18.42	57	1 1 0
20.94	27	0 2 0
27.71	100	1 1 -2
30.56	56	2 0 0
35.25	61	1 3 0
35.42	42	0 2 2
39.26	25	1 1 2
44.07	27	3 1 -2
51.92	20	0 4 2
53.92	22	2 4 -2



[5]
For AsPH, the GGA-PBE geometry in Alexandria gives the calculated powder XRD pattern in this record (CuKα).
Peak positions follow from Bragg's law for the DFT cell and can differ from measured ones.

Crystal structure
```
data_AsPH
_chemical_formula_sum 'As2 P2 H2'
_cell_length_a 5.5225
_cell_length_b 4.4755
_cell_length_c 4.8725
_cell_angle_alpha 90.00
_cell_angle_beta 94.43
_cell_angle_gamma 90.00
_space_group_name_H-M_alt 'C 1 m 1'
_space_group_IT_number 8
loop_
_space_group_symop_operation_xyz
'x,y,z'
'x,-y,z'
'x+1/2,y+1/2,z'
'x+1/2,-y+1/2,z'
loop_
_atom_site_label
_atom_site_fract_x
_atom_site_fract_y
_atom_site_fract_z
As1 0.0000 0.0000 0.0000
P1 0.1098 0.5000 0.1663
H1 0.1395 0.5000 0.4609
```

Principal peaks in the range 10° ≤ 2θ ≤ 90°, by angle:
2θ/deg	I/Imax	hkl
18.26	100	0 0 1
25.65	29	1 1 0
30.91	15	1 1 -1
32.41	40	1 1 1
32.52	20	2 0 0
36.24	21	2 0 -1
40.30	16	0 2 0
44.46	13	1 1 -2
44.58	19	0 2 1
46.66	20	1 1 2



[6]
For Tb3SiTe, the GGA-PBE geometry in Alexandria gives the calculated powder XRD pattern in this record (CuKα).
Peak positions follow from Bragg's law for the DFT cell and can differ from measured ones.

Crystal structure
```
data_Tb3SiTe
_chemical_formula_sum 'Tb24 Si8 Te8'
_cell_length_a 14.8161
_cell_length_b 11.9971
_cell_length_c 7.1670
_cell_angle_alpha 90.00
_cell_angle_beta 102.05
_cell_angle_gamma 90.00
_space_group_name_H-M_alt 'C 1 2/c 1'
_space_group_IT_number 15
loop_
_space_group_symop_operation_xyz
'x,y,z'
'-x,-y,-z'
'-x,y,-z+1/2'
'x,-y,z+1/2'
'x+1/2,y+1/2,z'
'-x+1/2,-y+1/2,-z'
'-x+1/2,y+1/2,-z+1/2'
'x+1/2,-y+1/2,z+1/2'
loop_
_atom_site_label
_atom_site_fract_x
_atom_site_fract_y
_atom_site_fract_z
Tb1 0.0969 0.0642 0.4409
Tb2 0.1007 0.2394 0.9618
Tb3 0.1063 0.4207 0.4586
Si1 0.0000 0.2459 0.2500
Si2 0.0000 0.4096 0.7500
Te1 0.2490 0.0992 0.8080
```

Principal peaks in the range 10° ≤ 2θ ≤ 90°, by angle:
2θ/deg	I/Imax	hkl
24.45	24	2 2 1
25.42	27	0 0 2
25.75	63	1 3 -1
30.10	71	3 3 -1
30.57	41	2 0 2
31.60	73	4 0 -2
33.29	100	3 3 1
37.23	28	6 0 0
44.20	57	1 3 -3
45.35	24	0 6 0